The following is a computed XRD peak list of Li3Fe2F9. It was derived from a DFT-relaxed cell (GGA+U, Alexandria), using Cu Kα X-rays.

Main lines, most intense first (2θ from 10° to 90°):
20.1°, I = 100.0; 31.8°, I = 35.3; 51.9°, I = 29.6; 43.3°, I = 25.6; 37.4°, I = 23.4; 23.6°, I = 20.4; 63.3°, I = 17.3; 48.2°, I = 16.3; 61.1°, I = 14.8; 24.3°, I = 11.5

Crystal structure
Cell lengths 5.0921, 5.0921, 14.6281 Å; angles 90.00, 90.00, 120.00 degrees
Positions (direct):
Li1 0.3333 0.6667 0.0071
Li2 0.3333 0.6667 0.4929
Li3 0.3333 0.6667 0.7500
Li4 0.6667 0.3333 0.2500
Li5 0.6667 0.3333 0.5071
Li6 0.6667 0.3333 0.9929
Fe1 0.0000 0.0000 0.1486
Fe2 0.0000 0.0000 0.3514
Fe3 0.0000 0.0000 0.6486
Fe4 0.0000 0.0000 0.8514
F1 0.0047 0.7212 0.7500
F2 0.0083 0.3318 0.5874
F3 0.0083 0.3318 0.9126
F4 0.2788 0.2835 0.7500
F5 0.2835 0.2788 0.2500
F6 0.3235 0.9917 0.5874
F7 0.3235 0.9917 0.9126
F8 0.3318 0.0083 0.0874
F9 0.3318 0.0083 0.4126
F10 0.6682 0.6765 0.5874
F11 0.6682 0.6765 0.9126
F12 0.6765 0.6682 0.0874
F13 0.6765 0.6682 0.4126
F14 0.7165 0.9953 0.7500
F15 0.7212 0.0047 0.2500
F16 0.9917 0.3235 0.0874
F17 0.9917 0.3235 0.4126
F18 0.9953 0.7165 0.2500

The following is a computed XRD peak list of LiFe2F6. It was derived from a DFT-relaxed cell (GGA+U, Alexandria), using Cu Kα X-rays.

Main lines, most intense first (2θ from 10° to 90°):
26.5°, I = 100.0; 52.0°, I = 69.2; 20.9°, I = 61.6; 34.2°, I = 40.8; 39.3°, I = 39.5; 66.1°, I = 28.9; 54.7°, I = 24.1; 18.8°, I = 21.1; 42.6°, I = 19.5; 32.8°, I = 17.8

Crystal structure
Cell lengths 4.7501, 4.7501, 9.4178 Å; angles 90.00, 90.00, 90.00 degrees
Positions (direct):
Li1 0.0000 0.0000 0.0000
Li2 0.5000 0.5000 0.5000
Fe1 0.0000 0.0000 0.3367
Fe2 0.0000 0.0000 0.6701
Fe3 0.5000 0.5000 0.1701
Fe4 0.5000 0.5000 0.8367
F1 0.1937 0.1937 0.1778
F2 0.1953 0.1953 0.4919
F3 0.2087 0.2087 0.8381
F4 0.2913 0.7087 0.3381
F5 0.3047 0.6953 0.9919
F6 0.3063 0.6937 0.6778
F7 0.6937 0.3063 0.6778
F8 0.6953 0.3047 0.9919
F9 0.7087 0.2913 0.3381
F10 0.7913 0.7913 0.8381
F11 0.8047 0.8047 0.4919
F12 0.8063 0.8063 0.1778

The following is a computed XRD peak list of Li2MgFeF6. It was derived from a DFT-relaxed cell (GGA+U, Alexandria), using Cu Kα X-rays.

Main lines, most intense first (2θ from 10° to 90°):
23.4°, I = 100.0; 23.8°, I = 48.1; 32.5°, I = 38.9; 39.6°, I = 38.0; 39.8°, I = 37.2; 40.2°, I = 35.0; 62.2°, I = 29.7; 52.3°, I = 27.4; 52.7°, I = 26.6; 53.3°, I = 25.6

Crystal structure
Cell lengths 5.1560, 5.1591, 5.5336 Å; angles 116.87, 90.99, 119.73 degrees
Positions (direct):
Li1 0.0000 0.0000 0.0000
Li2 0.4889 0.9842 0.4934
Mg1 0.6992 0.4081 0.1149
Fe1 0.2013 0.4111 0.6194
F1 0.0907 0.8918 0.3236
F2 0.3041 0.9238 0.8364
F3 0.4214 0.5216 0.3206
F4 0.6041 0.5312 0.8356
F5 0.7975 0.2297 0.3334
F6 0.9006 0.2190 0.8346

The following is a computed XRD peak list of LiMnFeF6. It was derived from a DFT-relaxed cell (GGA+U, Alexandria), using Cu Kα X-rays.

Main lines, most intense first (2θ from 10° to 90°):
27.3°, I = 100.0; 52.2°, I = 86.8; 39.9°, I = 75.5; 20.0°, I = 69.3; 21.8°, I = 62.5; 29.8°, I = 46.4; 62.9°, I = 33.5; 36.1°, I = 29.1; 55.6°, I = 22.4; 45.0°, I = 18.7

Crystal structure
Cell lengths 8.8609, 8.8609, 4.8170 Å; angles 90.00, 90.00, 120.00 degrees
Positions (direct):
Li1 0.0000 0.7039 0.0000
Li2 0.2961 0.2961 0.0000
Li3 0.7039 0.0000 0.0000
Mn1 0.0000 0.3618 0.5000
Mn2 0.3618 0.0000 0.5000
Mn3 0.6382 0.6382 0.5000
Fe1 0.0000 0.0000 0.5000
Fe2 0.3333 0.6667 0.0024
Fe3 0.6667 0.3333 0.9976
F1 0.0992 0.2129 0.2752
F2 0.1137 0.9008 0.2752
F3 0.1227 0.5802 0.2298
F4 0.2129 0.0992 0.7248
F5 0.2217 0.4538 0.7784
F6 0.2321 0.7783 0.7784
F7 0.4198 0.5425 0.2298
F8 0.4538 0.2217 0.2216
F9 0.4575 0.8773 0.2298
F10 0.5425 0.4198 0.7702
F11 0.5462 0.7679 0.7784
F12 0.5802 0.1227 0.7702
F13 0.7679 0.5462 0.2216
F14 0.7783 0.2321 0.2216
F15 0.7871 0.8863 0.2752
F16 0.8773 0.4575 0.7702
F17 0.8863 0.7871 0.7248
F18 0.9008 0.1137 0.7248

The following is a computed XRD peak list of Li6FeO5F. It was derived from a DFT-relaxed cell (GGA+U, Alexandria), using Cu Kα X-rays.

Main lines, most intense first (2θ from 10° to 90°):
19.3°, I = 100.0; 18.5°, I = 93.6; 19.0°, I = 93.5; 22.3°, I = 66.5; 36.2°, I = 66.0; 22.0°, I = 62.8; 22.6°, I = 59.6; 37.6°, I = 49.3; 20.2°, I = 47.5; 37.9°, I = 37.5

Crystal structure
Cell lengths 5.4661, 5.4734, 5.6164 Å; angles 62.67, 64.47, 62.81 degrees
Positions (direct):
Li1 0.0000 0.0000 0.0000
Li2 0.0181 0.8395 0.5398
Li3 0.2106 0.3972 0.3236
Li4 0.4202 0.2120 0.7613
Li5 0.5728 0.6321 0.7309
Li6 0.7698 0.4055 0.1770
Fe1 0.5238 0.9036 0.2170
O1 0.1541 0.1243 0.1698
O2 0.4151 0.5728 0.4558
O3 0.5946 0.2591 0.0450
O4 0.7105 0.8032 0.8918
O5 0.8476 0.7237 0.3505
F1 0.2591 0.0377 0.6479

The following is a computed XRD peak list of Li5FeO3F. It was derived from a DFT-relaxed cell (GGA+U, Alexandria), using Cu Kα X-rays.

Main lines, most intense first (2θ from 10° to 90°):
21.0°, I = 100.0; 32.9°, I = 77.8; 24.0°, I = 28.4; 57.8°, I = 27.9; 31.4°, I = 25.2; 45.1°, I = 23.9; 43.9°, I = 21.3; 26.7°, I = 20.8; 65.5°, I = 18.5; 40.5°, I = 18.0

Crystal structure
Cell lengths 6.6869, 5.4611, 5.4611 Å; angles 94.54, 90.00, 90.00 degrees
Positions (direct):
Li1 0.0000 0.0000 0.0000
Li2 0.0213 0.5740 0.2806
Li3 0.2500 0.1555 0.2924
Li4 0.2500 0.8241 0.5347
Li5 0.4787 0.5740 0.2806
Li6 0.5000 0.0000 0.0000
Li7 0.5213 0.2806 0.5740
Li8 0.7500 0.2924 0.1555
Li9 0.7500 0.5347 0.8241
Li10 0.9787 0.2806 0.5740
Fe1 0.2500 0.4630 0.8639
Fe2 0.7500 0.8639 0.4630
O1 0.0149 0.9595 0.3633
O2 0.2500 0.4634 0.4795
O3 0.4851 0.9595 0.3633
O4 0.5149 0.3633 0.9595
O5 0.7500 0.4795 0.4634
O6 0.9851 0.3633 0.9595
F1 0.2500 0.8770 0.8811
F2 0.7500 0.8811 0.8770

The following is a computed XRD peak list of LiFe2O2F3. It was derived from a DFT-relaxed cell (GGA+U, Alexandria), using Cu Kα X-rays.

Main lines, most intense first (2θ from 10° to 90°):
15.2°, I = 100.0; 32.2°, I = 82.8; 24.3°, I = 63.6; 10.8°, I = 61.0; 37.4°, I = 48.3; 55.5°, I = 46.2; 30.7°, I = 40.8; 24.0°, I = 36.7; 21.4°, I = 29.6; 45.3°, I = 26.1

Crystal structure
Cell lengths 3.1689, 8.1576, 8.3080 Å; angles 90.00, 90.00, 90.00 degrees
Positions (direct):
Li1 0.0000 0.1020 0.0000
Li2 0.0000 0.8980 0.5000
Fe1 0.0000 0.3974 0.6585
Fe2 0.0000 0.6026 0.1585
Fe3 0.5000 0.2591 0.3184
Fe4 0.5000 0.7409 0.8184
O1 0.0000 0.3872 0.2445
O2 0.0000 0.6128 0.7445
O3 0.5000 0.3603 0.5389
O4 0.5000 0.6397 0.0389
F1 0.0000 0.1126 0.4015
F2 0.0000 0.2575 0.8354
F3 0.0000 0.7425 0.3354
F4 0.0000 0.8874 0.9015
F5 0.5000 0.1203 0.1261
F6 0.5000 0.8797 0.6261

The following is a computed XRD peak list of Li3FeOF3. It was derived from a DFT-relaxed cell (GGA+U, Alexandria), using Cu Kα X-rays.

Main lines, most intense first (2θ from 10° to 90°):
42.6°, I = 100.0; 18.3°, I = 64.1; 62.2°, I = 50.6; 43.1°, I = 47.2; 18.9°, I = 38.2; 34.9°, I = 32.8; 21.7°, I = 19.7; 42.1°, I = 15.1; 60.9°, I = 14.8; 32.5°, I = 14.0

Crystal structure
Cell lengths 5.1482, 5.1482, 10.2795 Å; angles 99.50, 99.50, 34.35 degrees
Positions (direct):
Li1 0.0000 0.0000 0.0000
Li2 0.0000 0.0000 0.5000
Li3 0.2516 0.2516 0.3841
Li4 0.4990 0.4990 0.7494
Li5 0.5010 0.5010 0.2506
Li6 0.7484 0.7484 0.6159
Fe1 0.2405 0.2405 0.8831
Fe2 0.7595 0.7595 0.1169
O1 0.3787 0.3787 0.0702
O2 0.6213 0.6213 0.9298
F1 0.1203 0.1203 0.6754
F2 0.1320 0.1320 0.2017
F3 0.3733 0.3733 0.5619
F4 0.6267 0.6267 0.4381
F5 0.8680 0.8680 0.7983
F6 0.8797 0.8797 0.3246

The following is a computed XRD peak list of Li2FeOF3. It was derived from a DFT-relaxed cell (GGA+U, Alexandria), using Cu Kα X-rays.

Main lines, most intense first (2θ from 10° to 90°):
18.1°, I = 100.0; 23.5°, I = 70.0; 42.9°, I = 68.8; 14.8°, I = 47.7; 61.8°, I = 41.0; 42.3°, I = 35.0; 35.2°, I = 31.6; 25.6°, I = 31.0; 62.2°, I = 20.5; 34.9°, I = 18.9

Crystal structure
Cell lengths 5.9687, 5.9687, 8.5533 Å; angles 90.00, 90.00, 90.00 degrees
Positions (direct):
Li1 0.0020 0.2430 0.0000
Li2 0.2430 0.7367 0.1244
Li3 0.2430 0.9980 0.7500
Li4 0.2633 0.2430 0.3744
Li5 0.7367 0.7570 0.8744
Li6 0.7570 0.0020 0.2500
Li7 0.7570 0.2633 0.6244
Li8 0.9980 0.7570 0.5000
Fe1 0.2506 0.5157 0.7693
Fe2 0.4843 0.2506 0.0193
Fe3 0.5157 0.7494 0.5193
Fe4 0.7494 0.4843 0.2693
O1 0.2574 0.4747 0.9886
O2 0.4747 0.7426 0.7386
O3 0.5253 0.2574 0.2386
O4 0.7426 0.5253 0.4886
F1 0.0093 0.7452 0.7471
F2 0.0281 0.2592 0.7499
F3 0.2534 0.5130 0.5158
F4 0.2548 0.0093 0.9971
F5 0.2592 0.9719 0.4999
F6 0.4870 0.2534 0.7658
F7 0.5130 0.7466 0.2658
F8 0.7408 0.0281 0.9999
F9 0.7452 0.9907 0.4971
F10 0.7466 0.4870 0.0158
F11 0.9719 0.7408 0.2499
F12 0.9907 0.2548 0.2471

The following is a computed XRD peak list of Li3Fe10O7F9. It was derived from a DFT-relaxed cell (GGA+U, Alexandria), using Cu Kα X-rays.

Main lines, most intense first (2θ from 10° to 90°):
40.3°, I = 100.0; 41.1°, I = 95.8; 42.2°, I = 85.6; 17.6°, I = 60.3; 35.6°, I = 35.5; 59.4°, I = 32.1; 58.5°, I = 28.9; 60.0°, I = 27.0; 35.7°, I = 25.8; 60.7°, I = 25.7

Crystal structure
Cell lengths 6.1022, 6.2160, 10.6181 Å; angles 74.73, 74.49, 61.64 degrees
Positions (direct):
Li1 0.0000 0.0000 0.0000
Li2 0.2089 0.1349 0.4323
Li3 0.7798 0.8746 0.5815
Fe1 0.2436 0.2556 0.7584
Fe2 0.2473 0.7298 0.2522
Fe3 0.2575 0.7653 0.7588
Fe4 0.4848 0.0010 0.9917
Fe5 0.4914 0.5069 0.5049
Fe6 0.4977 0.5201 0.9917
Fe7 0.7367 0.2560 0.2516
Fe8 0.7410 0.2788 0.7522
Fe9 0.7496 0.7348 0.2543
Fe10 0.9964 0.5034 0.0043
O1 0.0943 0.6557 0.1274
O2 0.3454 0.8890 0.8863
O3 0.3616 0.3854 0.8871
O4 0.4056 0.8095 0.3666
O5 0.5800 0.2013 0.6390
O6 0.6330 0.5957 0.1281
O7 0.8796 0.3569 0.8848
F1 0.1109 0.1183 0.1279
F2 0.1150 0.6600 0.6409
F3 0.1179 0.1236 0.6320
F4 0.3793 0.3528 0.3737
F5 0.6149 0.6546 0.6295
F6 0.6259 0.1118 0.1166
F7 0.8599 0.9071 0.3678
F8 0.8679 0.8891 0.8840
F9 0.8771 0.3582 0.3768